Record 1
# Na2Zn9Pt6
Simulated X-ray diffraction stick pattern, Cu Kα. Input: a cell relaxed with GGA-PBE.

Top 10 peaks for 10° ≤ 2θ ≤ 90°, in order of rising 2θ:
Position (°2θ)	intensity
14.16	100
24.65	49
38.06	18
40.19	54
42.82	35
43.40	11
50.55	25
54.44	22
77.46	16
86.81	10

Atomic structure:
Cell: 7.223 7.223 8.590 Å, 90.00 90.00 120.00°
Fractional coordinates of all 17 atoms:
Na  0.000  0.000  0.238
Na  0.000  0.000  0.762
Zn  0.000  0.500  0.000
Zn  0.000  0.500  0.334
Zn  0.000  0.500  0.666
Zn  0.500  0.000  0.000
Zn  0.500  0.000  0.334
Zn  0.500  0.000  0.666
Zn  0.500  0.500  0.000
Zn  0.500  0.500  0.334
Zn  0.500  0.500  0.666
Pt  0.333  0.667  0.167
Pt  0.333  0.667  0.500
Pt  0.333  0.667  0.833
Pt  0.667  0.333  0.167
Pt  0.667  0.333  0.500
Pt  0.667  0.333  0.833

=====

Record 2
# La14PuIn
Simulated X-ray diffraction stick pattern, Cu Kα. Input: a cell relaxed with GGA-PBE.

Top 10 peaks for 10° ≤ 2θ ≤ 90°, in order of rising 2θ:
Position (°2θ)	intensity
29.95	100
34.61	16
34.78	34
49.88	23
50.00	12
59.17	13
59.39	28
62.24	12
81.07	11
83.80	8

Atomic structure:
Cell: 10.366 7.296 7.296 Å, 90.03 90.00 90.00°
Fractional coordinates of all 16 atoms:
La  0.000  0.000  0.000
La  0.000  0.004  0.494
La  0.000  0.494  0.004
La  0.000  0.498  0.498
La  0.256  0.752  0.752
La  0.262  0.248  0.750
La  0.262  0.750  0.248
La  0.268  0.249  0.249
La  0.500  0.504  0.991
La  0.500  0.991  0.504
La  0.732  0.249  0.249
La  0.738  0.248  0.750
La  0.738  0.750  0.248
La  0.744  0.752  0.752
Pu  0.500  0.499  0.499
In  0.500  0.999  0.999

=====

Record 3
# K3H2Pt
Simulated X-ray diffraction stick pattern, Cu Kα. Input: a cell relaxed with GGA-PBE.

Top 10 peaks for 10° ≤ 2θ ≤ 90°, in order of rising 2θ:
Position (°2θ)	intensity
16.81	96
19.93	20
24.38	30
27.99	47
30.05	54
31.45	100
32.43	23
34.00	19
37.51	38
44.79	36

Atomic structure:
Cell: 10.151 10.151 10.151 Å, 148.44 57.23 133.56°
Fractional coordinates of all 12 atoms:
K  0.104  0.750  0.354
K  0.250  0.250  0.000
K  0.396  0.750  0.646
K  0.604  0.250  0.354
K  0.750  0.750  0.000
K  0.896  0.250  0.646
H  0.063  0.724  0.788
H  0.437  0.224  0.661
H  0.563  0.776  0.339
H  0.937  0.276  0.212
Pt  0.000  0.500  0.500
Pt  0.500  0.000  0.500

=====

Record 4
# Sm4CoPb2
Simulated X-ray diffraction stick pattern, Cu Kα. Input: a cell relaxed with GGA-PBE.

Top 10 peaks for 10° ≤ 2θ ≤ 90°, in order of rising 2θ:
Position (°2θ)	intensity
25.32	42
27.43	73
31.47	42
31.81	32
33.01	100
36.11	87
48.64	50
51.99	31
62.05	24
62.98	32

Atomic structure:
Cell: 9.226 9.226 9.226 Å, 148.72 148.72 44.83°
Fractional coordinates of all 7 atoms:
Sm  0.000  0.500  0.500
Sm  0.173  0.173  0.000
Sm  0.500  0.000  0.500
Sm  0.827  0.827  0.000
Co  0.000  0.000  0.000
Pb  0.360  0.360  0.000
Pb  0.640  0.640  0.000

=====

Record 5
# NiPtRh2
Simulated X-ray diffraction stick pattern, Cu Kα. Input: a cell relaxed with GGA-PBE.

Top 10 peaks for 10° ≤ 2θ ≤ 90°, in order of rising 2θ:
Position (°2θ)	intensity
23.38	8
26.11	13
40.98	100
47.62	32
47.81	16
69.63	10
69.78	20
84.09	25
84.36	12
88.87	11

Atomic structure:
Cell: 4.666 4.666 4.666 Å, 131.69 131.69 70.73°
Fractional coordinates of all 4 atoms:
Ni  0.000  0.000  0.000
Pt  0.250  0.750  0.500
Rh  0.500  0.500  0.000
Rh  0.750  0.250  0.500

=====

Record 6
# Nd3Br2N2
Simulated X-ray diffraction stick pattern, Cu Kα. Input: a cell relaxed with GGA-PBE.

Top 10 peaks for 10° ≤ 2θ ≤ 90°, in order of rising 2θ:
Position (°2θ)	intensity
11.76	45
25.55	59
28.72	30
29.77	57
29.88	84
33.90	100
35.93	42
36.42	45
43.43	33
59.43	28

Atomic structure:
Cell: 3.638 6.438 7.631 Å, 80.93 90.00 73.66°
Fractional coordinates of all 7 atoms:
Nd  0.000  0.000  0.000
Nd  0.227  0.546  0.802
Nd  0.773  0.454  0.198
Br  0.119  0.762  0.381
Br  0.881  0.238  0.619
N  0.363  0.274  0.060
N  0.637  0.726  0.940

=====

Record 7
# Ce2Ga7Os
Simulated X-ray diffraction stick pattern, Cu Kα. Input: a cell relaxed with GGA-PBE.

Top 10 peaks for 10° ≤ 2θ ≤ 90°, in order of rising 2θ:
Position (°2θ)	intensity
15.95	13
26.18	81
32.21	44
37.37	100
46.20	35
53.87	69
60.86	16
64.17	17
67.40	23
73.64	18

Atomic structure:
Cell: 6.807 6.807 6.807 Å, 60.00 60.00 60.00°
Fractional coordinates of all 10 atoms:
Ce  0.250  0.250  0.250
Ce  0.750  0.750  0.750
Ga  0.000  0.000  0.000
Ga  0.249  0.249  0.751
Ga  0.249  0.751  0.249
Ga  0.249  0.751  0.751
Ga  0.751  0.249  0.249
Ga  0.751  0.249  0.751
Ga  0.751  0.751  0.249
Os  0.500  0.500  0.500

=====

Record 8
# LaCd4
Simulated X-ray diffraction stick pattern, Cu Kα. Input: a cell relaxed with GGA-PBE.

Top 10 peaks for 10° ≤ 2θ ≤ 90°, in order of rising 2θ:
Position (°2θ)	intensity
30.34	52
31.90	100
32.00	33
36.35	50
38.70	32
38.86	32
40.04	14
45.61	26
47.97	15
61.33	24

Atomic structure:
Cell: 3.978 4.943 7.287 Å, 109.51 105.75 90.13°
Fractional coordinates of all 5 atoms:
La  0.000  0.000  0.000
Cd  0.274  0.776  0.549
Cd  0.394  0.394  0.786
Cd  0.606  0.606  0.214
Cd  0.726  0.224  0.451

=====

Record 9
# Ho8Sn5Pb
Simulated X-ray diffraction stick pattern, Cu Kα. Input: a cell relaxed with GGA-PBE.

Top 10 peaks for 10° ≤ 2θ ≤ 90°, in order of rising 2θ:
Position (°2θ)	intensity
30.51	100
36.28	67
43.69	11
45.94	9
48.11	17
50.20	24
61.71	26
63.50	12
65.26	15
75.38	16

Atomic structure:
Cell: 8.025 8.025 8.025 Å, 109.48 109.48 109.45°
Fractional coordinates of all 14 atoms:
Ho  0.014  0.122  0.749
Ho  0.231  0.482  0.606
Ho  0.374  0.265  0.251
Ho  0.375  0.769  0.252
Ho  0.518  0.123  0.748
Ho  0.735  0.986  0.109
Ho  0.877  0.625  0.394
Ho  0.878  0.626  0.891
Sn  0.001  0.376  0.125
Sn  0.124  0.999  0.375
Sn  0.251  0.876  0.875
Sn  0.624  0.749  0.625
Sn  0.750  0.250  0.500
Pb  0.500  0.500  0.000

=====

Record 10
# Nd3Sb2As
Simulated X-ray diffraction stick pattern, Cu Kα. Input: a cell relaxed with GGA-PBE.

Top 10 peaks for 10° ≤ 2θ ≤ 90°, in order of rising 2θ:
Position (°2θ)	intensity
28.42	100
40.61	63
40.70	13
50.26	13
50.38	13
58.80	12
66.57	22
66.70	6
73.83	12
74.00	12

Atomic structure:
Cell: 14.710 14.024 7.700 Å, 79.44 69.59 30.97°
Fractional coordinates of all 24 atoms:
Nd  0.040  0.539  0.200
Nd  0.112  0.638  0.638
Nd  0.200  0.722  0.040
Nd  0.278  0.800  0.461
Nd  0.362  0.888  0.888
Nd  0.461  0.960  0.278
Nd  0.539  0.040  0.722
Nd  0.638  0.112  0.112
Nd  0.722  0.200  0.539
Nd  0.800  0.278  0.960
Nd  0.888  0.362  0.362
Nd  0.960  0.461  0.800
Sb  0.126  0.126  0.624
Sb  0.293  0.293  0.457
Sb  0.376  0.376  0.874
Sb  0.457  0.457  0.293
Sb  0.543  0.543  0.707
Sb  0.624  0.624  0.126
Sb  0.707  0.707  0.543
Sb  0.874  0.874  0.376
As  0.042  0.042  0.208
As  0.208  0.208  0.042
As  0.792  0.792  0.958
As  0.958  0.958  0.792

=====

Record 11
# SmErSi2Pd5
Simulated X-ray diffraction stick pattern, Cu Kα. Input: a cell relaxed with GGA-PBE.

Top 10 peaks for 10° ≤ 2θ ≤ 90°, in order of rising 2θ:
Position (°2θ)	intensity
21.19	6
29.11	11
36.29	100
40.07	16
43.16	36
60.34	19
62.68	12
70.33	13
74.63	24
77.04	9

Atomic structure:
Cell: 4.192 4.192 9.002 Å, 90.00 90.00 90.00°
Fractional coordinates of all 9 atoms:
Sm  0.000  0.000  0.000
Er  0.000  0.000  0.500
Si  0.500  0.500  0.370
Si  0.500  0.500  0.630
Pd  0.000  0.500  0.236
Pd  0.000  0.500  0.764
Pd  0.500  0.000  0.236
Pd  0.500  0.000  0.764
Pd  0.500  0.500  0.000

=====

Record 12
# Y4SbN
Simulated X-ray diffraction stick pattern, Cu Kα. Input: a cell relaxed with GGA-PBE.

Top 10 peaks for 10° ≤ 2θ ≤ 90°, in order of rising 2θ:
Position (°2θ)	intensity
30.05	29
30.30	24
30.83	62
32.34	100
34.10	68
35.35	81
43.78	17
53.20	18
53.70	42
66.53	17

Atomic structure:
Cell: 7.903 7.903 7.154 Å, 105.23 105.23 43.82°
Fractional coordinates of all 12 atoms:
Y  0.029  0.176  0.439
Y  0.176  0.029  0.939
Y  0.256  0.360  0.819
Y  0.360  0.256  0.319
Y  0.640  0.744  0.681
Y  0.744  0.640  0.181
Y  0.824  0.971  0.061
Y  0.971  0.824  0.561
Sb  0.390  0.610  0.250
Sb  0.610  0.390  0.750
N  0.000  0.500  0.500
N  0.500  0.000  0.000

=====

What did the ninth record say?
# Ho8Sn5Pb
Simulated X-ray diffraction stick pattern, Cu Kα. Input: a cell relaxed with GGA-PBE.

Top 10 peaks for 10° ≤ 2θ ≤ 90°, in order of rising 2θ:
Position (°2θ)	intensity
30.51	100
36.28	67
43.69	11
45.94	9
48.11	17
50.20	24
61.71	26
63.50	12
65.26	15
75.38	16

Atomic structure:
Cell: 8.025 8.025 8.025 Å, 109.48 109.48 109.45°
Fractional coordinates of all 14 atoms:
Ho  0.014  0.122  0.749
Ho  0.231  0.482  0.606
Ho  0.374  0.265  0.251
Ho  0.375  0.769  0.252
Ho  0.518  0.123  0.748
Ho  0.735  0.986  0.109
Ho  0.877  0.625  0.394
Ho  0.878  0.626  0.891
Sn  0.001  0.376  0.125
Sn  0.124  0.999  0.375
Sn  0.251  0.876  0.875
Sn  0.624  0.749  0.625
Sn  0.750  0.250  0.500
Pb  0.500  0.500  0.000